No. 1
This entry pairs a crystal structure of Cs2NiBI6 with its simulated powder XRD pattern. Radiation: λ = 1.5418 Å (Cu Kα). Structure: a cell relaxed with GGA-PBE.
Peak positions follow from Bragg's law for the DFT cell and can differ from measured ones.

Principal peaks in the range 10 to 90 degrees two-theta, low angle first:
- 2θ = 26.76°, I = 10
- 2θ = 27.10°, I = 100
- 2θ = 28.42°, I = 24
- 2θ = 32.79°, I = 44
- 2θ = 43.94°, I = 27
- 2θ = 44.60°, I = 9
- 2θ = 47.06°, I = 16
- 2θ = 49.53°, I = 9
- 2θ = 55.15°, I = 24
- 2θ = 55.89°, I = 12

Structural model:
```
data_Cs2NiBI6
_cell_length_a 8.3232
_cell_length_b 8.3232
_cell_length_c 8.3232
_cell_angle_alpha 124.70
_cell_angle_beta 124.70
_cell_angle_gamma 82.03
_space_group_name_H-M_alt 'P 1'
_space_group_IT_number 1
loop_
_space_group_symop_operation_xyz
'x,y,z'
loop_
_atom_site_label
_atom_site_type_symbol
_atom_site_fract_x
_atom_site_fract_y
_atom_site_fract_z
Cs1 Cs 0.2500 0.7500 0.5000
Cs2 Cs 0.7500 0.2500 0.5000
Ni1 Ni 0.0000 0.0000 0.0000
B1 B 0.5000 0.5000 0.0000
I1 I 0.2010 0.2010 0.0000
I2 I 0.2698 0.2698 0.5396
I3 I 0.2698 0.7302 0.0000
I4 I 0.7302 0.2698 0.0000
I5 I 0.7302 0.7302 0.4604
I6 I 0.7990 0.7990 0.0000
```

No. 2
This entry pairs a crystal structure of CsKBO2 with its simulated powder XRD pattern. Radiation: λ = 1.5418 Å (Cu Kα). Structure: a cell relaxed with GGA-PBE.
Peak positions follow from Bragg's law for the DFT cell and can differ from measured ones.

Principal peaks in the range 10 to 90 degrees two-theta, low angle first:
- 2θ = 19.34°, I = 100
- 2θ = 19.56°, I = 80
- 2θ = 21.25°, I = 34
- 2θ = 24.18°, I = 82
- 2θ = 25.73°, I = 25
- 2θ = 26.20°, I = 49
- 2θ = 32.90°, I = 38
- 2θ = 35.48°, I = 33
- 2θ = 36.07°, I = 39
- 2θ = 37.47°, I = 27

Structural model:
```
data_CsKBO2
_cell_length_a 8.3458
_cell_length_b 5.8640
_cell_length_c 8.3663
_cell_angle_alpha 90.00
_cell_angle_beta 118.20
_cell_angle_gamma 90.00
_space_group_name_H-M_alt 'P 1'
_space_group_IT_number 1
loop_
_space_group_symop_operation_xyz
'x,y,z'
loop_
_atom_site_label
_atom_site_type_symbol
_atom_site_fract_x
_atom_site_fract_y
_atom_site_fract_z
Cs1 Cs 0.0000 0.1959 0.2500
Cs2 Cs 0.0000 0.8041 0.7500
K1 K 0.5000 0.4969 0.7500
K2 K 0.5000 0.5031 0.2500
B1 B 0.5000 0.0000 0.0000
B2 B 0.5000 0.0000 0.5000
O1 O 0.4290 0.1978 0.4644
O2 O 0.4290 0.8022 0.9644
O3 O 0.5710 0.1978 0.0356
O4 O 0.5710 0.8022 0.5356
```

No. 3
This entry pairs a crystal structure of Cs2LiNdB2O6 with its simulated powder XRD pattern. Radiation: λ = 1.5418 Å (Cu Kα). Structure: a cell relaxed with GGA-PBE.
Peak positions follow from Bragg's law for the DFT cell and can differ from measured ones.

Principal peaks in the range 10 to 90 degrees two-theta, low angle first:
- 2θ = 20.89°, I = 28
- 2θ = 22.69°, I = 67
- 2θ = 24.31°, I = 44
- 2θ = 24.54°, I = 41
- 2θ = 29.23°, I = 100
- 2θ = 29.77°, I = 90
- 2θ = 31.17°, I = 21
- 2θ = 34.81°, I = 19
- 2θ = 40.81°, I = 19
- 2θ = 44.35°, I = 19

Structural model:
```
data_Cs2LiNdB2O6
_cell_length_a 7.3214
_cell_length_b 10.0877
_cell_length_c 10.4460
_cell_angle_alpha 90.00
_cell_angle_beta 90.00
_cell_angle_gamma 90.00
_space_group_name_H-M_alt 'P 1'
_space_group_IT_number 1
loop_
_space_group_symop_operation_xyz
'x,y,z'
loop_
_atom_site_label
_atom_site_type_symbol
_atom_site_fract_x
_atom_site_fract_y
_atom_site_fract_z
Cs1 Cs 0.2265 0.0768 0.0530
Cs2 Cs 0.2265 0.0768 0.4470
Cs3 Cs 0.2265 0.4232 0.5530
Cs4 Cs 0.2265 0.4232 0.9470
Cs5 Cs 0.7735 0.5768 0.0530
Cs6 Cs 0.7735 0.5768 0.4470
Cs7 Cs 0.7735 0.9232 0.5530
Cs8 Cs 0.7735 0.9232 0.9470
Li1 Li 0.0549 0.1619 0.7500
Li2 Li 0.0549 0.3381 0.2500
Li3 Li 0.9451 0.6619 0.7500
Li4 Li 0.9451 0.8381 0.2500
Nd1 Nd 0.3555 0.7248 0.2500
Nd2 Nd 0.3555 0.7752 0.7500
Nd3 Nd 0.6445 0.2248 0.2500
Nd4 Nd 0.6445 0.2752 0.7500
B1 B 0.1910 0.7500 0.0000
B2 B 0.1910 0.7500 0.5000
B3 B 0.3481 0.0679 0.7500
B4 B 0.3481 0.4321 0.2500
B5 B 0.6519 0.5679 0.7500
B6 B 0.6519 0.9321 0.2500
B7 B 0.8090 0.2500 0.0000
B8 B 0.8090 0.2500 0.5000
O1 O 0.1017 0.7126 0.6113
O2 O 0.1017 0.7126 0.8887
O3 O 0.1017 0.7874 0.1113
O4 O 0.1017 0.7874 0.3887
O5 O 0.1940 0.5129 0.2500
O6 O 0.1940 0.9871 0.7500
O7 O 0.3266 0.2052 0.7500
O8 O 0.3266 0.2948 0.2500
O9 O 0.3823 0.7500 0.0000
O10 O 0.3823 0.7500 0.5000
O11 O 0.4804 0.5099 0.7500
O12 O 0.4804 0.9901 0.2500
O13 O 0.5196 0.0099 0.7500
O14 O 0.5196 0.4901 0.2500
O15 O 0.6177 0.2500 0.0000
O16 O 0.6177 0.2500 0.5000
O17 O 0.6734 0.7052 0.7500
O18 O 0.6734 0.7948 0.2500
O19 O 0.8060 0.0129 0.2500
O20 O 0.8060 0.4871 0.7500
O21 O 0.8983 0.2126 0.6113
O22 O 0.8983 0.2126 0.8887
O23 O 0.8983 0.2874 0.1113
O24 O 0.8983 0.2874 0.3887
```

No. 4
This entry pairs a crystal structure of Cs2Li3B5O10 with its simulated powder XRD pattern. Radiation: λ = 1.5418 Å (Cu Kα). Structure: a cell relaxed with GGA-PBE.
Peak positions follow from Bragg's law for the DFT cell and can differ from measured ones.

Principal peaks in the range 10 to 90 degrees two-theta, low angle first:
- 2θ = 15.65°, I = 59
- 2θ = 19.68°, I = 30
- 2θ = 20.40°, I = 50
- 2θ = 25.03°, I = 100
- 2θ = 26.58°, I = 76
- 2θ = 27.61°, I = 83
- 2θ = 28.35°, I = 69
- 2θ = 33.13°, I = 42
- 2θ = 37.61°, I = 43
- 2θ = 41.50°, I = 41

Structural model:
```
data_Cs2Li3B5O10
_cell_length_a 6.9657
_cell_length_b 6.9657
_cell_length_c 12.9346
_cell_angle_alpha 90.00
_cell_angle_beta 90.00
_cell_angle_gamma 115.32
_space_group_name_H-M_alt 'P 1'
_space_group_IT_number 1
loop_
_space_group_symop_operation_xyz
'x,y,z'
loop_
_atom_site_label
_atom_site_type_symbol
_atom_site_fract_x
_atom_site_fract_y
_atom_site_fract_z
Cs1 Cs 0.2229 0.7771 0.7500
Cs2 Cs 0.3020 0.3020 0.0000
Cs3 Cs 0.6980 0.6980 0.5000
Cs4 Cs 0.7771 0.2229 0.2500
Li1 Li 0.1764 0.5566 0.4555
Li2 Li 0.3298 0.6702 0.2500
Li3 Li 0.4434 0.8236 0.0445
Li4 Li 0.5566 0.1764 0.5445
Li5 Li 0.6702 0.3298 0.7500
Li6 Li 0.8236 0.4434 0.9555
B1 B 0.0507 0.6979 0.0802
B2 B 0.1004 0.8996 0.2500
B3 B 0.2610 0.2830 0.6655
B4 B 0.2830 0.2610 0.3345
B5 B 0.3021 0.9493 0.4198
B6 B 0.6979 0.0507 0.9198
B7 B 0.7170 0.7390 0.8345
B8 B 0.7390 0.7170 0.1655
B9 B 0.8996 0.1004 0.7500
B10 B 0.9493 0.3021 0.5802
O1 O 0.1308 0.6376 0.9991
O2 O 0.1329 0.1873 0.7507
O3 O 0.1719 0.3713 0.5896
O4 O 0.1741 0.8185 0.3415
O5 O 0.1815 0.8259 0.1585
O6 O 0.1873 0.1329 0.2493
O7 O 0.2939 0.4552 0.3459
O8 O 0.3624 0.8692 0.5009
O9 O 0.3713 0.1719 0.4104
O10 O 0.4552 0.2939 0.6541
O11 O 0.5448 0.7061 0.1541
O12 O 0.6287 0.8281 0.9104
O13 O 0.6376 0.1308 0.0009
O14 O 0.7061 0.5448 0.8459
O15 O 0.8127 0.8671 0.7493
O16 O 0.8185 0.1741 0.6585
O17 O 0.8259 0.1815 0.8415
O18 O 0.8281 0.6287 0.0896
O19 O 0.8671 0.8127 0.2507
O20 O 0.8692 0.3624 0.4991
```